For Th6TeIr3Os2, a cell relaxed with PBE gives the computed powder XRD pattern in this record (copper Kα).
Lines closer than 0.1° are merged.

Principal peaks in the range 10 to 80 degrees two-theta, in order of falling intensity:
2theta, I (rel.), hkl
30.0, 100.0, 1 1 -2
30.3, 45.5, 6 0 0
43.5, 36.0, 7 1 -2
42.9, 32.8, 5 1 2
43.7, 18.8, 0 2 0
42.3, 18.6, 2 0 -4
54.1, 18.5, 6 2 0
62.4, 12.0, 2 2 -4
53.5, 9.8, 8 0 -4
71.8, 8.6, 1 3 -2

Atomic structure:
Unit cell a=18.106 b=4.145 c=8.553 alpha=90.00 beta=102.52 gamma=90.00
Space group C2/m (No. 12)
Inequivalent atoms, fractional coordinates:
Th: 0.009 0.000 0.281 (multiplicity 4)
Th: 0.168 0.500 0.585 (multiplicity 4)
Th: 0.181 0.500 0.102 (multiplicity 4)
Te: 0.000 0.500 0.000 (multiplicity 2)
Ir: 0.000 0.500 0.500 (multiplicity 2)
Ir: 0.159 0.000 0.836 (multiplicity 4)
Os: 0.167 0.000 0.336 (multiplicity 4)

***

For Tl2IrOs, a cell relaxed with PBE gives the computed powder XRD pattern in this record (copper Kα).
Lines closer than 0.1° are merged.

Principal peaks in the range 10 to 80 degrees two-theta, in order of falling intensity:
2theta, I (rel.), hkl
35.5, 100.0, 1 0 2
43.8, 42.2, 1 1 0
40.8, 37.7, 1 0 3
26.4, 24.2, 0 0 3
75.1, 24.1, 2 1 2
64.4, 18.2, 1 1 5
55.1, 16.5, 1 0 5
44.7, 15.7, 0 0 5
51.9, 15.6, 1 1 3
63.7, 14.1, 2 0 0

Atomic structure:
Unit cell a=2.921 b=2.921 c=10.139 alpha=90.00 beta=90.00 gamma=90.00
Space group P4mm (No. 99)
Inequivalent atoms, fractional coordinates:
Tl: 0.000 0.000 0.000 (multiplicity 1)
Tl: 0.500 0.500 0.359 (multiplicity 1)
Ir: 0.000 0.000 0.604 (multiplicity 1)
Os: 0.500 0.500 0.760 (multiplicity 1)

***

For V7Ir16Os6, a cell relaxed with PBE gives the computed powder XRD pattern in this record (copper Kα).
Lines closer than 0.1° are merged.

Principal peaks in the range 10 to 80 degrees two-theta, in order of falling intensity:
2theta, I (rel.), hkl
38.9, 100.0, 3 3 3
42.5, 56.1, 4 4 0
44.6, 38.9, 5 3 1
79.3, 38.5, 9 3 3
29.7, 36.0, 4 0 0
45.3, 35.1, 6 0 0
65.9, 22.3, 6 6 0
36.6, 21.7, 4 2 2
52.8, 20.2, 4 4 4
67.5, 19.0, 5 5 5

Atomic structure:
Unit cell a=12.020 b=12.020 c=12.020 alpha=90.00 beta=90.00 gamma=90.00
Space group Fm-3m (No. 225)
Inequivalent atoms, fractional coordinates:
V: 0.000 0.000 0.000 (multiplicity 4)
V: 0.000 0.250 0.250 (multiplicity 24)
Ir: 0.118 0.118 0.118 (multiplicity 32)
Ir: 0.162 0.162 0.338 (multiplicity 32)
Os: 0.000 0.000 0.343 (multiplicity 24)

***

Please write out number 1 again, unchanged.
For Th6TeIr3Os2, a cell relaxed with PBE gives the computed powder XRD pattern in this record (copper Kα).
Lines closer than 0.1° are merged.

Principal peaks in the range 10 to 80 degrees two-theta, in order of falling intensity:
2theta, I (rel.), hkl
30.0, 100.0, 1 1 -2
30.3, 45.5, 6 0 0
43.5, 36.0, 7 1 -2
42.9, 32.8, 5 1 2
43.7, 18.8, 0 2 0
42.3, 18.6, 2 0 -4
54.1, 18.5, 6 2 0
62.4, 12.0, 2 2 -4
53.5, 9.8, 8 0 -4
71.8, 8.6, 1 3 -2

Atomic structure:
Unit cell a=18.106 b=4.145 c=8.553 alpha=90.00 beta=102.52 gamma=90.00
Space group C2/m (No. 12)
Inequivalent atoms, fractional coordinates:
Th: 0.009 0.000 0.281 (multiplicity 4)
Th: 0.168 0.500 0.585 (multiplicity 4)
Th: 0.181 0.500 0.102 (multiplicity 4)
Te: 0.000 0.500 0.000 (multiplicity 2)
Ir: 0.000 0.500 0.500 (multiplicity 2)
Ir: 0.159 0.000 0.836 (multiplicity 4)
Os: 0.167 0.000 0.336 (multiplicity 4)